The following is a computed powder X-ray diffraction pattern of Cs3PmSm3Te8. It was derived from a crystal structure in Alexandria, relaxed with PBE, using a wavelength of 1.5418 Å.
No peak broadening, texture or thermal motion is included.

Crystal structure
```
data_Cs3PmSm3Te8
_chemical_formula_sum 'Cs9 Pm3 Sm9 Te24'
_cell_length_a 9.0522
_cell_length_b 9.0522
_cell_length_c 27.6055
_cell_angle_alpha 90.00
_cell_angle_beta 90.00
_cell_angle_gamma 120.00
_symmetry_space_group_name_H-M 'R -3 m'
_symmetry_Int_Tables_number 166
_symmetry_space_group_name_Hall '-R 3 2"'
loop_
_atom_site_label
_atom_site_type_symbol
_atom_site_fract_x
_atom_site_fract_y
_atom_site_fract_z
_atom_site_occupancy
Cs1 Cs 0.0000 0.5000 0.0000 1
Pm1 Pm 0.0000 0.0000 0.5000 1
Sm1 Sm 0.0000 0.5000 0.5000 1
Te1 Te 0.0000 0.0000 0.2313 1
Te2 Te 0.0030 0.5015 0.7689 1
```

Largest 10 diffraction maxima, by angle, 10° ≤ 2θ ≤ 80°:
2theta, I (rel.)
26.15, 100
32.20, 15
34.63, 34
39.83, 36
42.79, 10
48.27, 19
53.79, 10
57.09, 8
64.31, 16
68.97, 11

---

The following is a computed powder X-ray diffraction pattern of CsPm4Sn5. It was derived from a crystal structure in Alexandria, relaxed with PBE, using a wavelength of 1.5418 Å.
No peak broadening, texture or thermal motion is included.

Crystal structure
```
data_CsPm4Sn5
_chemical_formula_sum 'Cs1 Pm4 Sn5'
_cell_length_a 4.1553
_cell_length_b 4.1553
_cell_length_c 18.5185
_cell_angle_alpha 90.00
_cell_angle_beta 90.00
_cell_angle_gamma 90.00
_symmetry_space_group_name_H-M 'P 4/m m m'
_symmetry_Int_Tables_number 123
_symmetry_space_group_name_Hall '-P 4 2'
loop_
_atom_site_label
_atom_site_type_symbol
_atom_site_fract_x
_atom_site_fract_y
_atom_site_fract_z
_atom_site_occupancy
Cs1 Cs 0.0000 0.0000 0.0000 1
Pm1 Pm 0.0000 0.0000 0.2254 1
Pm2 Pm 0.0000 0.0000 0.4099 1
Sn1 Sn 0.5000 0.5000 0.1507 1
Sn2 Sn 0.5000 0.5000 0.3166 1
Sn3 Sn 0.5000 0.5000 0.5000 1
```

Largest 10 diffraction maxima, by angle, 10° ≤ 2θ ≤ 80°:
2theta, I (rel.)
28.88, 11
30.42, 100
32.38, 86
36.26, 52
43.56, 38
55.31, 38
57.93, 27
63.30, 13
63.71, 13
71.84, 18

---

The following is a computed powder X-ray diffraction pattern of Cs3Pr3PuS8. It was derived from a crystal structure in Alexandria, relaxed with PBE, using a wavelength of 1.5418 Å.
No peak broadening, texture or thermal motion is included.

Crystal structure
```
data_Cs3Pr3PuS8
_chemical_formula_sum 'Cs6 Pr6 Pu2 S16'
_cell_length_a 14.5843
_cell_length_b 8.4202
_cell_length_c 9.5541
_cell_angle_alpha 90.00
_cell_angle_beta 120.63
_cell_angle_gamma 90.00
_symmetry_space_group_name_H-M 'C 1 2/m 1'
_symmetry_Int_Tables_number 12
loop_
_symmetry_equiv_pos_as_xyz
'x,y,z'
'-x,-y,-z'
'-x,y,-z'
'x,-y,z'
'x+1/2,y+1/2,z'
'-x+1/2,-y+1/2,-z'
'-x+1/2,y+1/2,-z'
'x+1/2,-y+1/2,z'
loop_
_atom_site_label
_atom_site_type_symbol
_atom_site_fract_x
_atom_site_fract_y
_atom_site_fract_z
_atom_site_occupancy
Cs1 Cs 0.0000 0.0000 0.0000 1
Cs2 Cs 0.2500 0.2500 0.0000 1
Pr1 Pr 0.0000 0.5000 0.5000 1
Pr2 Pr 0.2500 0.2500 0.5000 1
Pu1 Pu 0.0000 0.0000 0.5000 1
S1 S 0.0196 0.2368 0.3224 1
S2 S 0.2172 0.0000 0.6776 1
S3 S 0.2290 0.5000 0.6868 1
```

Largest 10 diffraction maxima, by angle, 10° ≤ 2θ ≤ 80°:
2theta, I (rel.)
10.76, 29
12.66, 22
21.62, 30
25.48, 50
28.44, 100
38.23, 37
42.97, 34
44.36, 24
48.60, 24
52.33, 18

---

The following is a computed powder X-ray diffraction pattern of CsPr6S8. It was derived from a crystal structure in Alexandria, relaxed with PBE, using a wavelength of 1.5418 Å.
No peak broadening, texture or thermal motion is included.

Crystal structure
```
data_CsPr6S8
_chemical_formula_sum 'Cs1 Pr6 S8'
_cell_length_a 11.1987
_cell_length_b 11.1987
_cell_length_c 4.1684
_cell_angle_alpha 90.00
_cell_angle_beta 90.00
_cell_angle_gamma 120.00
_symmetry_space_group_name_H-M 'P -3'
_symmetry_Int_Tables_number 147
loop_
_symmetry_equiv_pos_as_xyz
'x,y,z'
'-x,-y,-z'
'-y,x-y,z'
'y,-x+y,-z'
'-x+y,-x,z'
'x-y,x,-z'
loop_
_atom_site_label
_atom_site_type_symbol
_atom_site_fract_x
_atom_site_fract_y
_atom_site_fract_z
_atom_site_occupancy
Cs1 Cs 0.0000 0.0000 0.0000 1
Pr1 Pr 0.1397 0.4766 0.2520 1
S1 S 0.0471 0.6805 0.2471 1
S2 S 0.3333 0.6667 0.7523 1
```

Largest 10 diffraction maxima, by angle, 10° ≤ 2θ ≤ 80°:
2theta, I (rel.)
23.23, 73
24.28, 100
28.23, 18
32.53, 92
33.31, 35
38.74, 72
42.72, 26
46.25, 16
50.36, 20
52.00, 18

---

The following is a computed powder X-ray diffraction pattern of CsPrS14. It was derived from a crystal structure in Alexandria, relaxed with PBE, using a wavelength of 1.5418 Å.
No peak broadening, texture or thermal motion is included.

Crystal structure
```
data_CsPrS14
_chemical_formula_sum 'Cs4 Pr4 S56'
_cell_length_a 21.1201
_cell_length_b 13.8864
_cell_length_c 8.1185
_cell_angle_alpha 90.00
_cell_angle_beta 111.63
_cell_angle_gamma 90.00
_symmetry_space_group_name_H-M 'C 1 2/m 1'
_symmetry_Int_Tables_number 12
loop_
_symmetry_equiv_pos_as_xyz
'x,y,z'
'-x,-y,-z'
'-x,y,-z'
'x,-y,z'
'x+1/2,y+1/2,z'
'-x+1/2,-y+1/2,-z'
'-x+1/2,y+1/2,-z'
'x+1/2,-y+1/2,z'
loop_
_atom_site_label
_atom_site_type_symbol
_atom_site_fract_x
_atom_site_fract_y
_atom_site_fract_z
_atom_site_occupancy
Cs1 Cs 0.1805 0.0000 0.3232 1
Pr1 Pr 0.0000 0.5000 0.0000 1
Pr2 Pr 0.0000 0.5000 0.5000 1
S1 S 0.0081 0.0847 0.8033 1
S2 S 0.0452 0.1174 0.6223 1
S3 S 0.0723 0.3799 0.3144 1
S4 S 0.0754 0.3809 0.8200 1
S5 S 0.1641 0.4191 0.3076 1
S6 S 0.1641 0.4216 0.8012 1
S7 S 0.2102 0.0713 0.9376 1
```

Largest 10 diffraction maxima, by angle, 10° ≤ 2θ ≤ 80°:
2theta, I (rel.)
12.75, 100
23.55, 24
23.86, 20
27.15, 21
28.32, 14
29.57, 17
30.19, 15
31.14, 11
32.10, 16
35.11, 19

---

The following is a computed powder X-ray diffraction pattern of Cs2PrS10. It was derived from a crystal structure in Alexandria, relaxed with PBE, using a wavelength of 1.5418 Å.
No peak broadening, texture or thermal motion is included.

Crystal structure
```
data_Cs2PrS10
_chemical_formula_sum 'Cs4 Pr2 S20'
_cell_length_a 6.6877
_cell_length_b 25.7699
_cell_length_c 5.1395
_cell_angle_alpha 90.00
_cell_angle_beta 90.00
_cell_angle_gamma 90.00
_symmetry_space_group_name_H-M 'P b a m'
_symmetry_Int_Tables_number 55
loop_
_symmetry_equiv_pos_as_xyz
'x,y,z'
'-x,-y,-z'
'-x,-y,z'
'x,y,-z'
'x+1/2,-y+1/2,-z'
'-x+1/2,y+1/2,z'
'-x+1/2,y+1/2,-z'
'x+1/2,-y+1/2,z'
loop_
_atom_site_label
_atom_site_type_symbol
_atom_site_fract_x
_atom_site_fract_y
_atom_site_fract_z
_atom_site_occupancy
Cs1 Cs 0.0288 0.1341 0.0000 1
Pr1 Pr 0.0000 0.5000 0.5000 1
S1 S 0.0294 0.4060 0.1987 1
S2 S 0.0911 0.0319 0.5000 1
S3 S 0.1641 0.7145 0.5000 1
S4 S 0.2365 0.2849 0.5000 1
```

Largest 10 diffraction maxima, by angle, 10° ≤ 2θ ≤ 80°:
2theta, I (rel.)
16.80, 27
22.12, 100
26.66, 15
27.56, 11
27.68, 15
32.75, 34
34.90, 20
38.98, 10
40.81, 13
41.52, 13

---

The following is a computed powder X-ray diffraction pattern of CsPrSnS4. It was derived from a crystal structure in Alexandria, relaxed with PBE, using a wavelength of 1.5418 Å.
No peak broadening, texture or thermal motion is included.

Crystal structure
```
data_CsPrSnS4
_chemical_formula_sum 'Cs2 Pr2 Sn2 S8'
_cell_length_a 6.9425
_cell_length_b 7.0461
_cell_length_c 9.6515
_cell_angle_alpha 90.00
_cell_angle_beta 107.74
_cell_angle_gamma 90.00
_symmetry_space_group_name_H-M 'P 1 21/m 1'
_symmetry_Int_Tables_number 11
loop_
_symmetry_equiv_pos_as_xyz
'x,y,z'
'-x,-y,-z'
'-x,y+1/2,-z'
'x,-y+1/2,z'
loop_
_atom_site_label
_atom_site_type_symbol
_atom_site_fract_x
_atom_site_fract_y
_atom_site_fract_z
_atom_site_occupancy
Cs1 Cs 0.2337 0.2500 0.4389 1
Pr1 Pr 0.2806 0.2500 0.9506 1
Sn1 Sn 0.2652 0.7500 0.1634 1
S1 S 0.0435 0.7500 0.9192 1
S2 S 0.0592 0.7500 0.3203 1
S3 S 0.4939 0.5082 0.8048 1
```

Largest 10 diffraction maxima, by angle, 10° ≤ 2θ ≤ 80°:
2theta, I (rel.)
15.85, 44
18.40, 42
18.77, 43
23.10, 74
23.59, 56
25.28, 94
29.68, 89
30.83, 91
37.30, 100
45.59, 46

---

The following is a computed powder X-ray diffraction pattern of Cs2Pr2SnS6. It was derived from a crystal structure in Alexandria, relaxed with PBE, using a wavelength of 1.5418 Å.
No peak broadening, texture or thermal motion is included.

Crystal structure
```
data_Cs2Pr2SnS6
_chemical_formula_sum 'Cs4 Pr4 Sn2 S12'
_cell_length_a 7.1594
_cell_length_b 12.2616
_cell_length_c 8.6486
_cell_angle_alpha 90.00
_cell_angle_beta 106.55
_cell_angle_gamma 90.00
_symmetry_space_group_name_H-M 'C 1 2/m 1'
_symmetry_Int_Tables_number 12
loop_
_symmetry_equiv_pos_as_xyz
'x,y,z'
'-x,-y,-z'
'-x,y,-z'
'x,-y,z'
'x+1/2,y+1/2,z'
'-x+1/2,-y+1/2,-z'
'-x+1/2,y+1/2,-z'
'x+1/2,-y+1/2,z'
loop_
_atom_site_label
_atom_site_type_symbol
_atom_site_fract_x
_atom_site_fract_y
_atom_site_fract_z
_atom_site_occupancy
Cs1 Cs 0.0000 0.1713 0.0000 1
Pr1 Pr 0.0000 0.3327 0.5000 1
Sn1 Sn 0.0000 0.0000 0.5000 1
S1 S 0.2169 0.1544 0.6799 1
S2 S 0.2403 0.0000 0.3231 1
```

Largest 10 diffraction maxima, by angle, 10° ≤ 2θ ≤ 80°:
2theta, I (rel.)
10.67, 41
21.44, 42
25.96, 26
26.08, 41
28.66, 49
29.03, 100
38.41, 38
38.53, 18
43.94, 32
44.58, 19